Diffraction record for Dy3Ga2Ni9Sn. The X-ray diffraction stick pattern is calculated, not measured: it uses a crystal structure in Alexandria, relaxed with PBE and a wavelength of 1.5418 Å.
No peak broadening, texture or thermal motion is included.

Principal peaks in the range 2θ = 5–70°, most intense first:
d = 2.242 Å, 40.2°, rel. 100; d = 2.982 Å, 30.0°, rel. 55; d = 2.483 Å, 36.2°, rel. 49; d = 1.792 Å, 51.0°, rel. 40; d = 9.024 Å, 9.8°, rel. 37; d = 3.398 Å, 26.2°, rel. 36; d = 1.960 Å, 46.3°, rel. 28; d = 2.256 Å, 40.0°, rel. 28; d = 1.491 Å, 62.3°, rel. 24; d = 1.479 Å, 62.8°, rel. 15; d = 4.512 Å, 19.7°, rel. 14; d = 5.166 Å, 17.2°, rel. 12

Crystal structure
```
Dy3Ga2Ni9Sn
1.0
5.965 0.000 0.000
-2.982 5.166 0.000
0.000 0.000 9.024
Dy Ga Ni Sn
3 2 9 1
Direct
0.000 0.000 0.000
0.333 0.667 0.736
0.667 0.333 0.264
0.333 0.667 0.177
0.667 0.333 0.823
0.000 0.500 0.000
0.133 0.265 0.266
0.133 0.867 0.266
0.265 0.133 0.734
0.500 0.000 0.000
0.500 0.500 0.000
0.735 0.867 0.266
0.867 0.133 0.734
0.867 0.735 0.734
0.000 0.000 0.500
```